(1)
Simulated powder XRD pattern
Compound: ZnPdO
Radiation: Cu Ka
Structure: a cell relaxed with GGA-PBE
No peak broadening, texture or thermal motion is included.

Crystal structure
```
data_ZnPdO
_chemical_formula_sum 'Zn2 Pd2 O2'
_cell_length_a 3.0354
_cell_length_b 3.0354
_cell_length_c 10.0976
_cell_angle_alpha 90.00
_cell_angle_beta 90.00
_cell_angle_gamma 120.00
_symmetry_space_group_name_H-M 'P -6 m 2'
_symmetry_Int_Tables_number 187
_symmetry_space_group_name_Hall 'P -6 2'
loop_
_atom_site_label
_atom_site_fract_x
_atom_site_fract_y
_atom_site_fract_z
Zn1 0.0000 0.0000 0.2089
Pd1 0.6667 0.3333 0.0000
Pd2 0.6667 0.3333 0.5000
O1 0.6667 0.3333 0.2993
```

Most intense lines, 2θ from 5° to 70°, by intensity:
| h k l | d (Å) | I (rel.) |
| --- | --- | --- |
| 1 0 2 | 2.332 | 100 |
| 1 0 0 | 2.629 | 44 |
| 0 0 4 | 2.524 | 25 |
| 1 1 0 | 1.518 | 25 |
| 1 0 4 | 1.821 | 25 |
| 1 0 6 | 1.417 | 14 |
| 1 0 3 | 2.072 | 12 |
| 1 0 5 | 1.601 | 9 |
| 0 0 2 | 5.049 | 7 |
| 0 0 1 | 10.098 | 5 |



(2)
Simulated powder XRD pattern
Compound: ZrPd2O6
Radiation: Cu Ka
Structure: a cell relaxed with GGA-PBE
No peak broadening, texture or thermal motion is included.

Crystal structure
```
data_ZrPd2O6
_chemical_formula_sum 'Zr1 Pd2 O6'
_cell_length_a 5.1738
_cell_length_b 5.1738
_cell_length_c 4.5723
_cell_angle_alpha 90.00
_cell_angle_beta 90.00
_cell_angle_gamma 120.00
_symmetry_space_group_name_H-M 'P -3 1 m'
_symmetry_Int_Tables_number 162
_symmetry_space_group_name_Hall '-P 3 2'
loop_
_atom_site_label
_atom_site_fract_x
_atom_site_fract_y
_atom_site_fract_z
Zr1 0.0000 0.0000 0.0000
Pd1 0.3333 0.6667 0.5000
O1 0.0000 0.3423 0.7380
```

Most intense lines, 2θ from 5° to 70°, by intensity:
| h k l | d (Å) | I (rel.) |
| --- | --- | --- |
| 1 0 1 | 3.200 | 100 |
| 2 -1 2 | 1.713 | 48 |
| 1 1 0 | 2.587 | 46 |
| 2 0 1 | 2.012 | 26 |
| 3 -1 1 | 1.588 | 24 |
| 2 -1 1 | 2.252 | 19 |
| 3 0 0 | 1.494 | 18 |
| 0 0 1 | 4.572 | 17 |
| 1 0 3 | 1.443 | 9 |
| 0 0 2 | 2.286 | 7 |



(3)
Simulated powder XRD pattern
Compound: Pm3O
Radiation: Cu Ka
Structure: a cell relaxed with GGA-PBE
No peak broadening, texture or thermal motion is included.

Crystal structure
```
data_Pm3O
_chemical_formula_sum 'Pm3 O1'
_cell_length_a 3.740
_cell_length_b 3.740
_cell_length_c 8.885
_cell_angle_alpha 90.00
_cell_angle_beta 90.00
_cell_angle_gamma 90.00
_symmetry_space_group_name_H-M 'P -4 m 2'
_symmetry_Int_Tables_number 115
loop_
_symmetry_equiv_pos_as_xyz
'x,y,z'
'y,-x,-z'
'-x,-y,z'
'-y,x,-z'
'-x,y,z'
'-y,-x,-z'
'x,-y,z'
'y,x,-z'
loop_
_atom_site_label
_atom_site_fract_x
_atom_site_fract_y
_atom_site_fract_z
Pm1 0.000 0.000 0.000
Pm2 0.000 0.500 0.649
O1 0.500 0.500 0.500
```

Most intense lines, 2θ from 5° to 70°, by intensity:
| h k l | d (Å) | I (rel.) |
| --- | --- | --- |
| 1 0 1 | 3.447 | 100 |
| 1 0 2 | 2.861 | 71 |
| 1 1 1 | 2.535 | 49 |
| 0 0 3 | 2.962 | 34 |
| 1 1 4 | 1.701 | 26 |
| 1 1 2 | 2.272 | 24 |
| 2 1 2 | 1.565 | 24 |
| 2 1 1 | 1.644 | 23 |
| 2 0 0 | 1.870 | 22 |
| 2 0 3 | 1.581 | 21 |



(4)
Simulated powder XRD pattern
Compound: Pm2O3
Radiation: Cu Ka
Structure: a cell relaxed with GGA-PBE
No peak broadening, texture or thermal motion is included.

Crystal structure
```
data_Pm2O3
_chemical_formula_sum 'Pm32 O48'
_cell_length_a 11.070
_cell_length_b 11.070
_cell_length_c 11.070
_cell_angle_alpha 90.00
_cell_angle_beta 90.00
_cell_angle_gamma 90.00
_symmetry_space_group_name_H-M 'I a -3'
_symmetry_Int_Tables_number 206
_symmetry_space_group_name_Hall '-I 2b 2c 3'
loop_
_atom_site_label
_atom_site_fract_x
_atom_site_fract_y
_atom_site_fract_z
Pm1 0.000 0.250 0.469
Pm2 0.250 0.250 0.250
O1 0.109 0.150 0.621
```

Most intense lines, 2θ from 5° to 70°, by intensity:
| h k l | d (Å) | I (rel.) |
| --- | --- | --- |
| 2 2 2 | 3.196 | 100 |
| 4 4 0 | 1.957 | 41 |
| 4 0 0 | 2.768 | 34 |
| 6 2 2 | 1.669 | 33 |
| 2 1 1 | 4.519 | 9 |
| 4 1 3 | 2.171 | 8 |
| 4 4 4 | 1.598 | 7 |
| 6 1 3 | 1.632 | 6 |
| 4 1 1 | 2.609 | 5 |
| 6 1 1 | 1.796 | 5 |



(5)
Simulated powder XRD pattern
Compound: PmPrSnO
Radiation: Cu Ka
Structure: a cell relaxed with GGA-PBE
No peak broadening, texture or thermal motion is included.

Crystal structure
```
data_PmPrSnO
_chemical_formula_sum 'Pm2 Pr2 Sn2 O2'
_cell_length_a 3.740
_cell_length_b 3.806
_cell_length_c 14.319
_cell_angle_alpha 90.00
_cell_angle_beta 90.00
_cell_angle_gamma 90.00
_symmetry_space_group_name_H-M 'I m m 2'
_symmetry_Int_Tables_number 44
loop_
_symmetry_equiv_pos_as_xyz
'x,y,z'
'-x,-y,z'
'-x,y,z'
'x,-y,z'
'x+1/2,y+1/2,z+1/2'
'-x+1/2,-y+1/2,z+1/2'
'-x+1/2,y+1/2,z+1/2'
'x+1/2,-y+1/2,z+1/2'
loop_
_atom_site_label
_atom_site_fract_x
_atom_site_fract_y
_atom_site_fract_z
Pm1 0.000 0.000 0.000
Pr1 0.000 0.000 0.694
Sn1 0.000 0.000 0.349
O1 0.000 0.500 0.595
```

Most intense lines, 2θ from 5° to 70°, by intensity:
| h k l | d (Å) | I (rel.) |
| --- | --- | --- |
| 0 1 3 | 2.976 | 100 |
| 1 0 3 | 2.944 | 96 |
| 1 1 0 | 2.668 | 71 |
| 1 1 6 | 1.779 | 42 |
| 1 2 3 | 1.598 | 32 |
| 2 1 3 | 1.583 | 31 |
| 0 0 6 | 2.387 | 21 |
| 0 2 0 | 1.903 | 16 |
| 2 0 0 | 1.870 | 15 |
| 0 2 6 | 1.487 | 14 |



(6)
Simulated powder XRD pattern
Compound: PmPr2SnO
Radiation: Cu Ka
Structure: a cell relaxed with GGA-PBE
No peak broadening, texture or thermal motion is included.

Crystal structure
```
data_PmPr2SnO
_chemical_formula_sum 'Pm1 Pr2 Sn1 O1'
_cell_length_a 5.039
_cell_length_b 5.039
_cell_length_c 4.893
_cell_angle_alpha 90.00
_cell_angle_beta 90.00
_cell_angle_gamma 90.00
_symmetry_space_group_name_H-M 'P 4/m m m'
_symmetry_Int_Tables_number 123
_symmetry_space_group_name_Hall '-P 4 2'
loop_
_atom_site_label
_atom_site_fract_x
_atom_site_fract_y
_atom_site_fract_z
Pm1 0.000 0.000 0.000
Pr1 0.000 0.500 0.500
Sn1 0.500 0.500 0.000
O1 0.000 0.000 0.500
```

Most intense lines, 2θ from 5° to 70°, by intensity:
| h k l | d (Å) | I (rel.) |
| --- | --- | --- |
| 1 1 1 | 2.880 | 100 |
| 2 0 0 | 2.520 | 39 |
| 3 1 1 | 1.515 | 30 |
| 2 0 2 | 1.755 | 26 |
| 0 0 2 | 2.446 | 18 |
| 2 2 0 | 1.782 | 14 |
| 1 1 3 | 1.483 | 14 |
| 2 2 2 | 1.440 | 14 |
| 1 0 0 | 5.039 | 1 |



(7)
Simulated powder XRD pattern
Compound: Pm2PrTaO8
Radiation: Cu Ka
Structure: a cell relaxed with GGA-PBE
No peak broadening, texture or thermal motion is included.

Crystal structure
```
data_Pm2PrTaO8
_chemical_formula_sum 'Pm2 Pr1 Ta1 O8'
_cell_length_a 3.954
_cell_length_b 5.498
_cell_length_c 7.542
_cell_angle_alpha 90.00
_cell_angle_beta 90.00
_cell_angle_gamma 90.00
_symmetry_space_group_name_H-M 'P m m m'
_symmetry_Int_Tables_number 47
loop_
_symmetry_equiv_pos_as_xyz
'x,y,z'
'-x,-y,-z'
'-x,-y,z'
'x,y,-z'
'x,-y,-z'
'-x,y,z'
'-x,y,-z'
'x,-y,z'
loop_
_atom_site_label
_atom_site_fract_x
_atom_site_fract_y
_atom_site_fract_z
Pm1 0.000 0.000 0.248
Pr1 0.500 0.500 0.000
Ta1 0.500 0.500 0.500
O1 0.000 0.243 0.000
O2 0.000 0.318 0.500
O3 0.500 0.260 0.292
```

Most intense lines, 2θ from 5° to 70°, by intensity:
| h k l | d (Å) | I (rel.) |
| --- | --- | --- |
| 1 1 0 | 3.210 | 100 |
| 0 1 2 | 3.110 | 97 |
| 1 2 2 | 1.937 | 67 |
| 1 0 2 | 2.729 | 42 |
| 2 1 2 | 1.668 | 32 |
| 1 1 4 | 1.626 | 28 |
| 0 2 0 | 2.749 | 22 |
| 2 0 0 | 1.977 | 19 |
| 1 3 0 | 1.663 | 16 |
| 0 0 4 | 1.886 | 15 |



(8)
Simulated powder XRD pattern
Compound: PmPrTe2O8
Radiation: Cu Ka
Structure: a cell relaxed with GGA-PBE
No peak broadening, texture or thermal motion is included.

Crystal structure
```
data_PmPrTe2O8
_chemical_formula_sum 'Pm2 Pr2 Te4 O16'
_cell_length_a 7.607
_cell_length_b 7.607
_cell_length_c 6.976
_cell_angle_alpha 90.00
_cell_angle_beta 90.00
_cell_angle_gamma 90.00
_symmetry_space_group_name_H-M 'I -4 m 2'
_symmetry_Int_Tables_number 119
_symmetry_space_group_name_Hall 'I -4 -2'
loop_
_atom_site_label
_atom_site_fract_x
_atom_site_fract_y
_atom_site_fract_z
Pm1 0.000 0.000 0.000
Pr1 0.000 0.500 0.750
Te1 0.000 0.000 0.500
Te2 0.000 0.500 0.250
O1 0.000 0.181 0.695
O2 0.000 0.315 0.055
```

Most intense lines, 2θ from 5° to 70°, by intensity:
| h k l | d (Å) | I (rel.) |
| --- | --- | --- |
| 2 0 0 | 3.803 | 100 |
| 1 1 2 | 2.926 | 79 |
| 3 1 2 | 1.980 | 66 |
| 2 2 0 | 2.689 | 25 |
| 3 3 2 | 1.595 | 20 |
| 4 0 0 | 1.902 | 16 |
| 4 2 0 | 1.701 | 16 |
| 5 1 2 | 1.372 | 15 |
| 2 0 4 | 1.585 | 15 |
| 2 2 4 | 1.463 | 11 |



(9)
Simulated powder XRD pattern
Compound: PmPr2TmO6
Radiation: Cu Ka
Structure: a cell relaxed with GGA-PBE
No peak broadening, texture or thermal motion is included.

Crystal structure
```
data_PmPr2TmO6
_chemical_formula_sum 'Pm3 Pr6 Tm3 O18'
_cell_length_a 6.0198
_cell_length_b 6.0198
_cell_length_c 15.4250
_cell_angle_alpha 90.00
_cell_angle_beta 90.00
_cell_angle_gamma 120.00
_symmetry_space_group_name_H-M 'R 3'
_symmetry_Int_Tables_number 146
_symmetry_space_group_name_Hall 'R 3'
loop_
_atom_site_label
_atom_site_fract_x
_atom_site_fract_y
_atom_site_fract_z
Pm1 0.0000 0.0000 0.0000
Pr1 0.0000 0.0000 0.2748
Pr2 0.0000 0.0000 0.7771
Tm1 0.0000 0.0000 0.4952
O1 0.0527 0.3569 0.5586
O2 0.0590 0.6828 0.0614
```

Most intense lines, 2θ from 5° to 70°, by intensity:
| h k l | d (Å) | I (rel.) |
| --- | --- | --- |
| 1 0 4 | 3.100 | 100 |
| 1 1 0 | 3.010 | 96 |
| 0 2 4 | 2.160 | 43 |
| 3 -1 4 | 1.755 | 43 |
| 3 0 0 | 1.738 | 28 |
| 2 -1 6 | 1.955 | 23 |
| 1 3 4 | 1.354 | 16 |
| 0 1 8 | 1.808 | 15 |
| 0 1 2 | 4.319 | 13 |
| 2 2 0 | 1.505 | 13 |



(10)
Simulated powder XRD pattern
Compound: SrPm2PtO5
Radiation: Cu Ka
Structure: a cell relaxed with GGA-PBE
No peak broadening, texture or thermal motion is included.

Crystal structure
```
data_SrPm2PtO5
_chemical_formula_sum 'Sr2 Pm4 Pt2 O10'
_cell_length_a 6.717
_cell_length_b 6.717
_cell_length_c 5.916
_cell_angle_alpha 90.00
_cell_angle_beta 90.00
_cell_angle_gamma 90.00
_symmetry_space_group_name_H-M 'P 4/m b m'
_symmetry_Int_Tables_number 127
_symmetry_space_group_name_Hall '-P 4 2ab'
loop_
_atom_site_label
_atom_site_fract_x
_atom_site_fract_y
_atom_site_fract_z
Sr1 0.000 0.000 0.000
Pm1 0.174 0.326 0.500
Pt1 0.000 0.500 0.000
O1 0.000 0.000 0.500
O2 0.143 0.643 0.252
```

Most intense lines, 2θ from 5° to 70°, by intensity:
| h k l | d (Å) | I (rel.) |
| --- | --- | --- |
| 2 0 1 | 2.921 | 100 |
| 2 1 1 | 2.678 | 38 |
| 0 0 2 | 2.958 | 38 |
| 2 1 2 | 2.108 | 29 |
| 1 1 0 | 4.750 | 27 |
| 2 2 0 | 2.375 | 24 |
| 3 1 1 | 1.999 | 24 |
| 2 2 2 | 1.852 | 22 |
| 2 0 3 | 1.701 | 21 |
| 2 1 0 | 3.004 | 15 |



(11)
Simulated powder XRD pattern
Compound: PmTl2PtO6
Radiation: Cu Ka
Structure: a cell relaxed with GGA-PBE
No peak broadening, texture or thermal motion is included.

Crystal structure
```
data_PmTl2PtO6
_chemical_formula_sum 'Pm3 Tl6 Pt3 O18'
_cell_length_a 5.7722
_cell_length_b 5.7722
_cell_length_c 15.4258
_cell_angle_alpha 90.00
_cell_angle_beta 90.00
_cell_angle_gamma 120.00
_symmetry_space_group_name_H-M 'R 3'
_symmetry_Int_Tables_number 146
_symmetry_space_group_name_Hall 'R 3'
loop_
_atom_site_label
_atom_site_fract_x
_atom_site_fract_y
_atom_site_fract_z
Pm1 0.0000 0.0000 0.0000
Tl1 0.0000 0.0000 0.2145
Tl2 0.0000 0.0000 0.7442
Pt1 0.0000 0.0000 0.5119
O1 0.0305 0.7329 0.5903
O2 0.0813 0.3448 0.1072
```

Most intense lines, 2θ from 5° to 70°, by intensity:
| h k l | d (Å) | I (rel.) |
| --- | --- | --- |
| 1 0 4 | 3.053 | 100 |
| 1 1 0 | 2.886 | 99 |
| 0 2 4 | 2.097 | 41 |
| 2 1 4 | 1.697 | 39 |
| 3 0 0 | 1.666 | 25 |
| 1 1 6 | 1.920 | 17 |
| 2 -1 9 | 1.474 | 15 |
| 2 2 0 | 1.443 | 14 |
| 0 1 8 | 1.799 | 12 |
| 0 1 2 | 4.195 | 10 |



(12)
Simulated powder XRD pattern
Compound: PmTl2PtO8
Radiation: Cu Ka
Structure: a cell relaxed with GGA-PBE
No peak broadening, texture or thermal motion is included.

Crystal structure
```
data_PmTl2PtO8
_chemical_formula_sum 'Pm1 Tl2 Pt1 O8'
_cell_length_a 4.795
_cell_length_b 5.024
_cell_length_c 6.973
_cell_angle_alpha 90.07
_cell_angle_beta 90.01
_cell_angle_gamma 91.47
_symmetry_space_group_name_H-M 'P -1'
_symmetry_Int_Tables_number 2
loop_
_symmetry_equiv_pos_as_xyz
'x,y,z'
'-x,-y,-z'
loop_
_atom_site_label
_atom_site_fract_x
_atom_site_fract_y
_atom_site_fract_z
Pm1 0.000 0.000 0.000
Tl1 0.500 0.499 0.740
Pt1 0.000 0.000 0.500
O1 0.120 0.769 0.286
O2 0.121 0.769 0.713
O3 0.351 0.211 0.500
O4 0.432 0.239 0.000
```

Most intense lines, 2θ from 5° to 70°, by intensity:
| h k l | d (Å) | I (rel.) |
| --- | --- | --- |
| 0 1 2 | 2.864 | 100 |
| 1 -1 0 | 3.513 | 83 |
| 1 1 0 | 3.424 | 80 |
| 1 0 2 | 2.819 | 72 |
| 1 -2 2 | 1.889 | 39 |
| 1 2 2 | 1.861 | 34 |
| 2 0 0 | 2.397 | 32 |
| 2 -1 2 | 1.851 | 29 |
| 2 1 -2 | 1.825 | 27 |
| 0 2 0 | 2.511 | 24 |